For Li4Cr3Ni2Sb3O16, the PBE+U geometry in the Materials Project gives the theoretical powder diffraction line list in this record (a wavelength of 1.5418 Å).
Lines closer than 0.1° are merged.

Peak list (10 most intense, 10° ≤ 2θ ≤ 90°, sorted by position)
- 2θ = 18.12°, I = 100
- 2θ = 19.05°, I = 74
- 2θ = 19.14°, I = 24
- 2θ = 24.71°, I = 26
- 2θ = 34.59°, I = 38
- 2θ = 35.17°, I = 41
- 2θ = 35.26°, I = 31
- 2θ = 43.96°, I = 39
- 2θ = 44.26°, I = 22
- 2θ = 60.93°, I = 28

Structural model:
a = 6.083 Å, b = 6.083 Å, c = 9.793 Å
α = 90.62°, β = 90.62°, γ = 60.25°
Element x y z (fractional)
Li: 0.000 0.000 0.000
Li: 0.002 0.002 0.516
Li: 0.325 0.325 0.636
Li: 0.660 0.660 0.105
Cr: 0.157 0.157 0.290
Cr: 0.326 0.819 0.792
Cr: 0.819 0.326 0.792
Ni: 0.317 0.317 0.996
Ni: 0.644 0.644 0.533
Sb: 0.157 0.651 0.291
Sb: 0.651 0.157 0.291
Sb: 0.818 0.818 0.792
O: 0.022 0.476 0.177
O: 0.142 0.673 0.905
O: 0.149 0.149 0.901
O: 0.301 0.828 0.400
O: 0.323 0.323 0.404
O: 0.475 0.475 0.174
O: 0.476 0.022 0.177
O: 0.505 0.505 0.674
O: 0.509 0.953 0.670
O: 0.657 0.657 0.902
O: 0.673 0.142 0.905
O: 0.828 0.301 0.400
O: 0.834 0.834 0.403
O: 0.953 0.509 0.670
O: 0.986 0.986 0.695
O: 0.989 0.989 0.186